# 1
Simulated X-ray diffraction stick pattern of AcGa4Ni2Ir for copper Kα, from a structure optimized by DFT (GGA-PBE).
Neutral-atom scattering factors, no anomalous dispersion.

Crystal structure
a b c (Å): 4.1744 4.1744 28.3414
angles (deg): 90.00 90.00 120.00
Space group R-3m (No. 166, hexagonal axes)
Unique sites:
Ac  0.0000  0.0000  0.0000 (multiplicity 3)
Ga  0.0000  0.0000  0.1311 (multiplicity 6)
Ga  0.0000  0.0000  0.4081 (multiplicity 6)
Ni  0.0000  0.0000  0.2249 (multiplicity 6)
Ir  0.0000  0.0000  0.5000 (multiplicity 3)

The 10 most intense peaks (10 to 90 degrees two-theta), by angle:
| 2θ/deg | I/Imax | hkl |
| --- | --- | --- |
| 18.79 | 20 | 0 0 6 |
| 25.43 | 65 | 0 1 2 |
| 27.70 | 35 | 1 0 4 |
| 35.48 | 83 | 0 1 8 |
| 40.44 | 41 | 1 0 10 |
| 43.11 | 21 | 0 1 11 |
| 43.35 | 100 | 1 1 0 |
| 51.76 | 24 | 0 1 14 |
| 57.21 | 21 | 2 0 8 |
| 74.42 | 19 | 1 2 8 |



# 2
Simulated X-ray diffraction stick pattern of Pm3Y3Ni2 for copper Kα, from a structure optimized by DFT (GGA-PBE).
Neutral-atom scattering factors, no anomalous dispersion.

Crystal structure
a b c (Å): 3.681 13.297 18.703
angles (deg): 90.00 90.00 90.00
Space group Cmcm (No. 63)
Unique sites:
Pm  0.000  0.049  0.250 (multiplicity 4)
Pm  0.000  0.176  0.563 (multiplicity 8)
Y  0.000  0.228  0.750 (multiplicity 4)
Y  0.000  0.437  0.585 (multiplicity 8)
Ni  0.000  0.199  0.141 (multiplicity 8)

The 10 most intense peaks (10 to 90 degrees two-theta), by angle:
| 2θ/deg | I/Imax | hkl |
| --- | --- | --- |
| 27.25 | 26 | 0 4 1 |
| 28.64 | 42 | 0 0 6 |
| 28.96 | 23 | 1 1 3 |
| 31.62 | 52 | 1 3 0 |
| 33.05 | 27 | 1 3 2 |
| 34.83 | 100 | 1 1 5 |
| 36.16 | 66 | 0 4 5 |
| 41.91 | 27 | 1 5 0 |
| 49.53 | 21 | 2 0 0 |
| 62.84 | 26 | 2 4 5 |



# 3
Simulated X-ray diffraction stick pattern of Co3Pd13 for copper Kα, from a structure optimized by DFT (GGA-PBE).
Neutral-atom scattering factors, no anomalous dispersion.

Crystal structure
a b c (Å): 7.674 7.825 7.839
angles (deg): 90.00 90.00 90.00
Space group Amm2 (No. 38)
Unique sites:
Co  0.000  0.000  0.000 (multiplicity 2)
Co  0.247  0.000  0.235 (multiplicity 4)
Pd  0.000  0.000  0.484 (multiplicity 2)
Pd  0.000  0.239  0.237 (multiplicity 4)
Pd  0.243  0.000  0.742 (multiplicity 4)
Pd  0.245  0.245  0.990 (multiplicity 8)
Pd  0.500  0.000  0.487 (multiplicity 2)
Pd  0.500  0.000  0.995 (multiplicity 2)
Pd  0.500  0.244  0.240 (multiplicity 4)

The 10 most intense peaks (10 to 90 degrees two-theta), by angle:
| 2θ/deg | I/Imax | hkl |
| --- | --- | --- |
| 28.30 | 2 | 2 1 1 |
| 40.16 | 100 | 2 2 2 |
| 46.37 | 33 | 0 0 4 |
| 47.38 | 15 | 4 0 0 |
| 67.67 | 10 | 0 4 4 |
| 68.47 | 20 | 4 0 4 |
| 81.64 | 12 | 2 2 6 |
| 81.77 | 12 | 2 6 2 |
| 83.20 | 11 | 6 2 2 |
| 86.73 | 10 | 4 4 4 |